The following is a theoretical powder diffraction line list of YBiTe. It was derived from a PBE-relaxed structure, using Cu Kα (weighted mean of Kα1 and Kα2).
Kinematic intensities with the Lorentz-polarization factor, no thermal factor.

Peak list (6 most intense, 2θ from 15° to 90°, by intensity)
Position (°2θ)  d [Å]  intensity  (hkl)
30.27  2.953  100  1 1 2
34.56  2.596  58  1 1 4
41.05  2.199  39  2 0 0
28.40  3.142  36  0 0 6
50.67  1.802  30  2 0 6
68.15  1.376  23  3 1 2

Crystal structure
abc: 4.3977 4.3977 18.8537
angles: 90.00 90.00 90.00
Space group I4/mmm (No. 139)
Symmetry-distinct sites (fractional):
Y 0.0000 0.0000 0.1438 [4 per cell]
Bi 0.0000 0.5000 0.0000 [4 per cell]
Te 0.0000 0.0000 0.3119 [4 per cell]